Diffraction record for CsSi4O8. The powder diffraction line list is theoretical, not measured: it uses a PBE-relaxed structure and CuKα.

Main lines, by angle (5 to 70 degrees two-theta):
2θ/deg  I_rel
11.0  100
21.6  36
29.0  68
32.3  40
34.2  43
37.4  10
38.5  17
51.1  11
55.5  20
67.5  21

Atomic structure:
```
data_CsSi4O8
_symmetry_space_group_name_H-M 'P 6/m m m'
_symmetry_Int_Tables_number 191
_symmetry_space_group_name_Hall '-P 6 2'
_cell_length_a 5.5510
_cell_length_b 5.5510
_cell_length_c 8.0167
_cell_angle_alpha 90.00
_cell_angle_beta 90.00
_cell_angle_gamma 120.00
loop_
_atom_site_label
_atom_site_fract_x
_atom_site_fract_y
_atom_site_fract_z
Cs1 0.0000 0.0000 0.0000
Si1 0.3333 0.6667 0.2088
O1 0.0000 0.5000 0.2651
O2 0.3333 0.6667 0.0000
```



Diffraction record for Nd3MgB2N6. The powder diffraction line list is theoretical, not measured: it uses a PBE-relaxed structure and CuKα.

Main lines, by angle (5 to 70 degrees two-theta):
2θ/deg  I_rel
23.6  100
32.7  69
34.6  59
40.7  41
48.4  30
53.1  25
55.8  23
58.3  13
59.6  23
68.4  11

Atomic structure:
```
data_Nd3MgB2N6
_symmetry_space_group_name_H-M 'P -3 m 1'
_symmetry_Int_Tables_number 164
_symmetry_space_group_name_Hall '-P 3 2"'
_cell_length_a 5.4837
_cell_length_b 5.4837
_cell_length_c 6.1760
_cell_angle_alpha 90.00
_cell_angle_beta 90.00
_cell_angle_gamma 120.00
loop_
_atom_site_label
_atom_site_fract_x
_atom_site_fract_y
_atom_site_fract_z
Nd1 0.0000 0.0000 0.0000
Nd2 0.3333 0.6667 0.6575
Mg1 0.0000 0.0000 0.5000
B1 0.3333 0.6667 0.2510
N1 0.1818 0.3637 0.2829
```



Diffraction record for TcHg2Cl8. The powder diffraction line list is theoretical, not measured: it uses a PBE-relaxed structure and CuKα.

Main lines, by angle (5 to 70 degrees two-theta):
2θ/deg  I_rel
13.8  100
14.0  25
18.8  20
19.7  22
25.2  24
28.7  29
29.0  29
31.6  27
38.1  22
40.1  20

Atomic structure:
```
data_TcHg2Cl8
_symmetry_space_group_name_H-M 'P -1'
_symmetry_Int_Tables_number 2
_cell_length_a 6.3250
_cell_length_b 7.6495
_cell_length_c 7.7337
_cell_angle_alpha 112.70
_cell_angle_beta 90.18
_cell_angle_gamma 90.02
loop_
_symmetry_equiv_pos_as_xyz
'x,y,z'
'-x,-y,-z'
loop_
_atom_site_label
_atom_site_fract_x
_atom_site_fract_y
_atom_site_fract_z
Tc1 0.0000 0.0000 0.0000
Hg1 0.4998 0.2891 0.2894
Cl1 0.1625 0.9069 0.6997
Cl2 0.1644 0.3035 0.0931
Cl3 0.2903 0.8851 0.1134
Cl4 0.3559 0.3695 0.6256
```